No. 1
Computed XRD peak list of Ag6Ge2O7 for Cu Kα, 1.54184 Å, from a GGA-PBE-relaxed structure.
Lines closer than 0.1° are merged.

The 8 most intense peaks (10 to 80 degrees two-theta), in order of rising 2θ:
- 28.42°, I 93
- 32.39°, I 1000
- 32.78°, I 64
- 35.15°, I 132
- 37.92°, I 56
- 48.52°, I 91
- 57.82°, I 85
- 61.34°, I 52

```
Ag6Ge2O7
1.0
5.534 0.000 0.000
0.000 10.211 0.000
-0.060 0.000 16.337
Ag Ge O
24 8 28
direct
0.173 0.000 0.428 Ag
0.257 0.809 0.589 Ag
0.276 0.514 0.175 Ag
0.277 0.056 0.205 Ag
0.279 0.319 0.843 Ag
0.281 0.026 0.922 Ag
0.284 0.855 0.073 Ag
0.291 0.028 0.694 Ag
0.304 0.299 0.048 Ag
0.306 0.312 0.309 Ag
0.315 0.256 0.508 Ag
0.316 0.524 0.675 Ag
0.684 0.024 0.325 Ag
0.685 0.756 0.492 Ag
0.694 0.812 0.691 Ag
0.696 0.799 0.952 Ag
0.709 0.528 0.306 Ag
0.716 0.355 0.927 Ag
0.719 0.526 0.078 Ag
0.721 0.819 0.157 Ag
0.723 0.556 0.795 Ag
0.724 0.014 0.825 Ag
0.743 0.309 0.411 Ag
0.827 0.500 0.572 Ag
0.227 0.767 0.805 Ge
0.236 0.583 0.969 Ge
0.243 0.563 0.433 Ge
0.284 0.780 0.296 Ge
0.716 0.280 0.704 Ge
0.757 0.063 0.567 Ge
0.764 0.083 0.031 Ge
0.773 0.267 0.195 Ge
0.081 0.879 0.240 O
0.099 0.690 0.893 O
0.107 0.693 0.716 O
0.113 0.653 0.348 O
0.117 0.620 0.525 O
0.123 0.422 0.950 O
0.135 0.643 0.064 O
0.137 0.935 0.809 O
0.152 0.395 0.420 O
0.437 0.073 0.569 O
0.441 0.873 0.374 O
0.442 0.079 0.041 O
0.448 0.255 0.188 O
0.496 0.696 0.233 O
0.504 0.196 0.767 O
0.552 0.755 0.812 O
0.558 0.579 0.959 O
0.559 0.373 0.626 O
0.563 0.573 0.431 O
0.848 0.895 0.580 O
0.863 0.435 0.191 O
0.865 0.143 0.936 O
0.877 0.922 0.050 O
0.883 0.120 0.475 O
0.887 0.153 0.652 O
0.893 0.193 0.284 O
0.901 0.190 0.107 O
0.919 0.379 0.760 O
```

No. 2
Computed XRD peak list of Ta2AlC for Cu Kα, 1.54184 Å, from a GGA-PBE-relaxed structure.
Lines closer than 0.1° are merged.

The 8 most intense peaks (10 to 80 degrees two-theta), in order of rising 2θ:
- 11.26°, I 1000
- 33.39°, I 240
- 33.89°, I 409
- 34.22°, I 310
- 37.66°, I 859
- 44.38°, I 308
- 59.68°, I 216
- 70.63°, I 235

```
Ta2AlC
1.0
3.099 0.000 0.000
-1.549 2.684 0.000
0.000 0.000 15.721
Ta Al C
4 2 2
direct
0.333 0.667 0.079 Ta
0.333 0.667 0.421 Ta
0.667 0.333 0.579 Ta
0.667 0.333 0.921 Ta
0.333 0.667 0.250 Al
0.667 0.333 0.750 Al
0.000 0.000 0.000 C
0.000 0.000 0.500 C
```

No. 3
Computed XRD peak list of ZrUCN for Cu Kα, 1.54184 Å, from a GGA-PBE-relaxed structure.
Lines closer than 0.1° are merged.

The 8 most intense peaks (10 to 80 degrees two-theta), in order of rising 2θ:
- 15.79°, I 347
- 31.19°, I 227
- 31.90°, I 351
- 32.56°, I 1000
- 37.58°, I 923
- 53.76°, I 324
- 54.62°, I 309
- 64.66°, I 299

```
ZrUCN
1.0
3.360 0.000 0.000
-1.680 2.910 0.000
0.000 0.000 16.835
Zr U C N
3 3 3 3
direct
0.000 0.000 0.000 Zr
0.333 0.667 0.667 Zr
0.667 0.333 0.333 Zr
0.000 0.000 0.500 U
0.333 0.667 0.167 U
0.667 0.333 0.834 U
0.000 0.000 0.749 C
0.333 0.667 0.415 C
0.667 0.333 0.082 C
0.000 0.000 0.253 N
0.333 0.667 0.920 N
0.667 0.333 0.586 N
```

No. 4
Computed XRD peak list of Rb3Bi for Cu Kα, 1.54184 Å, from a GGA-PBE-relaxed structure.
Lines closer than 0.1° are merged.

The 8 most intense peaks (10 to 80 degrees two-theta), in order of rising 2θ:
- 16.79°, I 132
- 27.58°, I 1000
- 32.47°, I 86
- 39.40°, I 193
- 48.77°, I 417
- 56.95°, I 132
- 64.42°, I 182
- 78.21°, I 213

```
Rb3Bi
1.0
9.147 0.000 0.000
0.000 9.147 0.000
0.000 0.000 9.147
Rb Bi
12 4
direct
0.000 0.000 0.000 Rb
0.000 0.500 0.500 Rb
0.250 0.250 0.250 Rb
0.250 0.250 0.750 Rb
0.250 0.750 0.250 Rb
0.250 0.750 0.750 Rb
0.500 0.000 0.500 Rb
0.500 0.500 0.000 Rb
0.750 0.250 0.250 Rb
0.750 0.250 0.750 Rb
0.750 0.750 0.250 Rb
0.750 0.750 0.750 Rb
0.000 0.000 0.500 Bi
0.000 0.500 0.000 Bi
0.500 0.000 0.000 Bi
0.500 0.500 0.500 Bi
```

No. 5
Computed XRD peak list of LiB13C2 for Cu Kα, 1.54184 Å, from a GGA-PBE-relaxed structure.
Lines closer than 0.1° are merged.

The 8 most intense peaks (10 to 80 degrees two-theta), in order of rising 2θ:
- 13.71°, I 299
- 16.35°, I 1000
- 28.42°, I 369
- 34.50°, I 173
- 35.72°, I 257
- 40.78°, I 282
- 42.01°, I 168
- 59.80°, I 156

```
LiB13C2
1.0
-2.838 5.420 4.021
2.838 -5.420 4.021
2.838 5.420 -4.021
Li B C
2 26 4
direct
0.438 0.188 0.250 Li
0.562 0.812 0.750 Li
0.024 0.204 0.322 B
0.024 0.701 0.819 B
0.108 0.682 0.425 B
0.109 0.859 0.250 B
0.183 0.517 0.666 B
0.224 0.491 0.404 B
0.224 0.819 0.732 B
0.243 0.318 0.925 B
0.351 0.517 0.834 B
0.382 0.204 0.681 B
0.382 0.701 0.178 B
0.413 0.181 0.904 B
0.413 0.509 0.232 B
0.587 0.491 0.768 B
0.587 0.819 0.096 B
0.618 0.299 0.822 B
0.618 0.796 0.319 B
0.649 0.483 0.166 B
0.757 0.682 0.075 B
0.776 0.181 0.268 B
0.776 0.509 0.596 B
0.817 0.483 0.334 B
0.891 0.141 0.750 B
0.892 0.318 0.575 B
0.976 0.299 0.181 B
0.976 0.796 0.678 B
0.007 0.126 0.881 C
0.255 0.874 0.381 C
0.745 0.126 0.619 C
0.993 0.874 0.119 C
```

No. 6
Computed XRD peak list of BaZrSe3 for Cu Kα, 1.54184 Å, from a GGA-PBE-relaxed structure.
Lines closer than 0.1° are merged.

The 8 most intense peaks (10 to 80 degrees two-theta), in order of rising 2θ:
- 29.78°, I 464
- 29.90°, I 1000
- 30.57°, I 351
- 31.03°, I 533
- 31.64°, I 952
- 36.91°, I 457
- 44.03°, I 287
- 44.46°, I 394

```
BaZrSe3
1.0
9.180 0.000 0.000
0.000 4.075 0.000
0.000 0.000 15.179
Ba Zr Se
4 4 12
direct
0.066 0.250 0.175 Ba
0.434 0.750 0.675 Ba
0.566 0.250 0.325 Ba
0.934 0.750 0.825 Ba
0.164 0.750 0.441 Zr
0.336 0.250 0.941 Zr
0.664 0.750 0.059 Zr
0.836 0.250 0.559 Zr
0.024 0.750 0.605 Se
0.168 0.750 0.005 Se
0.214 0.250 0.787 Se
0.286 0.750 0.287 Se
0.332 0.250 0.505 Se
0.476 0.250 0.105 Se
0.524 0.750 0.895 Se
0.668 0.750 0.495 Se
0.714 0.250 0.713 Se
0.786 0.750 0.213 Se
0.832 0.250 0.995 Se
0.976 0.250 0.395 Se
```

No. 7
Computed XRD peak list of Mg16Al12Tl for Cu Kα, 1.54184 Å, from a GGA-PBE-relaxed structure.
Lines closer than 0.1° are merged.

The 8 most intense peaks (10 to 80 degrees two-theta), in order of rising 2θ:
- 11.71°, I 895
- 11.96°, I 989
- 16.77°, I 474
- 20.69°, I 553
- 26.49°, I 375
- 35.67°, I 1000
- 36.12°, I 893
- 36.34°, I 459

```
Mg16Al12Tl
1.0
5.290 -7.376 0.000
5.290 7.376 0.000
-5.104 0.000 7.583
Mg Al Tl
16 12 1
direct
0.000 0.000 0.000 Mg
0.000 0.000 0.344 Mg
0.002 0.653 0.351 Mg
0.002 0.686 0.743 Mg
0.286 0.599 0.945 Mg
0.311 0.311 0.053 Mg
0.316 0.711 0.661 Mg
0.336 0.336 0.677 Mg
0.394 0.678 0.340 Mg
0.397 0.996 0.026 Mg
0.599 0.286 0.945 Mg
0.653 0.002 0.351 Mg
0.678 0.394 0.340 Mg
0.686 0.002 0.743 Mg
0.711 0.316 0.661 Mg
0.996 0.397 0.026 Mg
0.173 0.357 0.334 Al
0.179 0.811 0.158 Al
0.186 0.999 0.711 Al
0.357 0.173 0.334 Al
0.367 0.997 0.527 Al
0.632 0.632 0.168 Al
0.636 0.824 0.991 Al
0.811 0.179 0.158 Al
0.822 0.822 0.522 Al
0.824 0.636 0.991 Al
0.997 0.367 0.527 Al
0.999 0.186 0.711 Al
0.606 0.606 0.634 Tl
```